Theoretical PXRD pattern of NaPr9Si6S2O24 for Cu Kα, 1.54184 Å, from a structure optimized by DFT (PBE).

Most intense lines, 10 to 80 degrees two-theta, in order of falling intensity:
d_spacing	intensity	index
2.953	100.0	3 -1 1
2.854	65.2	2 -1 2
2.876	37.8	3 0 0
4.052	36.9	1 1 1
2.026	31.8	4 -2 2
1.891	29.0	1 2 3
1.834	25.8	4 0 2
3.261	25.3	1 2 0
1.904	24.0	3 2 1
4.313	22.6	2 0 0
1.883	22.0	1 4 0
3.230	18.4	1 0 2

Structure:
```
NaPr9Si6S2O24
1.0
9.962 0.000 0.000
-4.981 8.627 0.000
0.000 0.000 6.966
Na Pr Si S O
1 9 6 2 24
Direct
0.000 0.000 0.000 Na
0.000 0.000 0.488 Pr
0.084 0.420 0.241 Pr
0.093 0.678 0.745 Pr
0.322 0.415 0.745 Pr
0.335 0.916 0.241 Pr
0.580 0.665 0.241 Pr
0.585 0.907 0.745 Pr
0.667 0.333 0.495 Pr
0.667 0.333 0.991 Pr
0.302 0.047 0.742 Si
0.366 0.290 0.245 Si
0.710 0.075 0.245 Si
0.745 0.698 0.742 Si
0.925 0.634 0.245 Si
0.953 0.255 0.742 Si
0.333 0.667 0.001 S
0.333 0.667 0.491 S
0.004 0.820 0.252 O
0.068 0.306 0.552 O
0.073 0.323 0.924 O
0.180 0.184 0.252 O
0.209 0.144 0.736 O
0.238 0.932 0.552 O
0.250 0.927 0.924 O
0.434 0.403 0.053 O
0.438 0.407 0.433 O
0.463 0.194 0.243 O
0.491 0.164 0.742 O
0.593 0.031 0.433 O
0.597 0.030 0.053 O
0.673 0.509 0.742 O
0.677 0.750 0.924 O
0.694 0.762 0.552 O
0.731 0.537 0.243 O
0.806 0.269 0.243 O
0.816 0.996 0.252 O
0.836 0.327 0.742 O
0.856 0.065 0.736 O
0.935 0.791 0.736 O
0.969 0.562 0.433 O
0.970 0.566 0.053 O
```